# 1
# Sr2CdP3Pt12
Calculated X-ray powder pattern, CuKα. Input: a crystal structure in Alexandria, relaxed with PBE.
Intensities are scaled so that the largest is 100.

The 6 most intense peaks (2θ = 15–90°), most intense first:
- 2θ = 31.60°, intensity 100
- 2θ = 43.22°, intensity 58
- 2θ = 47.30°, intensity 36
- 2θ = 34.18°, intensity 17
- 2θ = 38.38°, intensity 17
- 2θ = 23.14°, intensity 17

Structure:
abc: 7.7396 7.7396 7.7396
angles: 65.50 65.50 65.50
Sites, in units of the cell vectors:
Sr  0.1049  0.1049  0.1049
Sr  0.8951  0.8951  0.8951
Cd  0.5000  0.5000  0.5000
P  0.0000  0.5000  0.5000
P  0.5000  0.0000  0.5000
P  0.5000  0.5000  0.0000
Pt  0.1158  0.6286  0.6286
Pt  0.1642  0.1642  0.5954
Pt  0.1642  0.5954  0.1642
Pt  0.3714  0.3714  0.8842
Pt  0.3714  0.8842  0.3714
Pt  0.4046  0.8358  0.8358
Pt  0.5954  0.1642  0.1642
Pt  0.6286  0.1158  0.6286
Pt  0.6286  0.6286  0.1158
Pt  0.8358  0.4046  0.8358
Pt  0.8358  0.8358  0.4046
Pt  0.8842  0.3714  0.3714


# 2
# K3Li
Calculated X-ray powder pattern, CuKα. Input: a crystal structure in Alexandria, relaxed with PBE.
Intensities are scaled so that the largest is 100.

The 6 most intense peaks (2θ = 15–90°), most intense first:
- 2θ = 25.72°, intensity 100
- 2θ = 25.31°, intensity 27
- 2θ = 20.28°, intensity 26
- 2θ = 20.50°, intensity 22
- 2θ = 36.70°, intensity 20
- 2θ = 27.29°, intensity 18

Structure:
abc: 9.8089 9.8089 4.8946
angles: 90.00 90.00 91.71
Sites, in units of the cell vectors:
K  0.1462  0.8538  0.7500
K  0.1642  0.4112  0.7500
K  0.4112  0.1642  0.2500
K  0.5888  0.8358  0.7500
K  0.8358  0.5888  0.2500
K  0.8538  0.1462  0.2500
Li  0.4268  0.5732  0.2500
Li  0.5732  0.4268  0.7500